(1)
Theoretical X-ray powder pattern of Ac4PaIr4 for Cu Kα, 1.54184 Å, from a crystal structure in Alexandria, relaxed with GGA-PBE.

Structural model:
```
data_Ac4PaIr4
_chemical_formula_sum 'Ac4 Pa1 Ir4'
_symmetry_space_group_name_H-M 'P 1'
_symmetry_Int_Tables_number 1
_symmetry_space_group_name_Hall 'P 1'
_cell_length_a 7.799
_cell_length_b 7.799
_cell_length_c 9.456
_cell_angle_alpha 118.87
_cell_angle_beta 118.87
_cell_angle_gamma 33.10
loop_
_atom_site_label
_atom_site_type_symbol
_atom_site_fract_x
_atom_site_fract_y
_atom_site_fract_z
_atom_site_occupancy
Ac1 Ac 0.124 0.124 0.370 1
Ac2 Ac 0.331 0.331 0.199 1
Ac3 Ac 0.669 0.669 0.801 1
Ac4 Ac 0.876 0.876 0.630 1
Pa1 Pa 0.500 0.500 0.000 1
Ir1 Ir 0.094 0.094 0.960 1
Ir2 Ir 0.301 0.301 0.761 1
Ir3 Ir 0.699 0.699 0.239 1
Ir4 Ir 0.906 0.906 0.040 1
```

Principal peaks in the range 15 to 90 degrees two-theta, by angle:
Position (°2θ)	I/Imax
29.25	100
31.26	57
35.17	44
36.81	30
40.39	51
40.62	36
46.13	14
49.00	14
50.31	18
52.13	33



(2)
Theoretical X-ray powder pattern of Ac4IrPb2 for Cu Kα, 1.54184 Å, from a crystal structure in Alexandria, relaxed with GGA-PBE.

Structural model:
```
data_Ac4IrPb2
_chemical_formula_sum 'Ac8 Ir2 Pb4'
_symmetry_space_group_name_H-M 'P 1'
_symmetry_Int_Tables_number 1
_symmetry_space_group_name_Hall 'P 1'
_cell_length_a 12.825
_cell_length_b 4.869
_cell_length_c 9.536
_cell_angle_alpha 90.00
_cell_angle_beta 121.45
_cell_angle_gamma 90.00
loop_
_atom_site_label
_atom_site_type_symbol
_atom_site_fract_x
_atom_site_fract_y
_atom_site_fract_z
_atom_site_occupancy
Ac1 Ac 0.074 0.000 0.348 1
Ac2 Ac 0.166 0.500 0.061 1
Ac3 Ac 0.334 0.000 0.939 1
Ac4 Ac 0.426 0.500 0.652 1
Ac5 Ac 0.574 0.500 0.348 1
Ac6 Ac 0.666 0.000 0.061 1
Ac7 Ac 0.834 0.500 0.939 1
Ac8 Ac 0.926 0.000 0.652 1
Ir1 Ir 0.000 0.000 0.000 1
Ir2 Ir 0.500 0.500 0.000 1
Pb1 Pb 0.139 0.500 0.655 1
Pb2 Pb 0.361 0.000 0.345 1
Pb3 Pb 0.639 0.000 0.655 1
Pb4 Pb 0.861 0.500 0.345 1
```

Principal peaks in the range 15 to 90 degrees two-theta, by angle:
Position (°2θ)	I/Imax
26.37	73
27.83	87
30.63	100
32.82	52
33.03	52
34.49	58
36.92	60
45.17	28
50.37	33
53.54	23